Entry 1:
For AgHPtRhS, a GGA-PBE-relaxed structure gives the simulated powder diffraction line list in this record (λ = 1.5418 Å (Cu Kα)).

Structural model:
Unit cell a=3.0411 b=3.0411 c=15.1353 alpha=90.00 beta=90.00 gamma=90.00
Space group I4mm (No. 107)
One atom of each set of equivalent atoms:
Ag: 0.0000 0.0000 0.0000
H: 0.0000 0.0000 0.5218
Pt: 0.0000 0.0000 0.6310
Rh: 0.0000 0.0000 0.2599
S: 0.0000 0.0000 0.8278

Most intense lines, 10° ≤ 2θ ≤ 90°, by angle:
(0 0 2), 2θ = 11.69°, rel. 64; (1 0 3), 2θ = 34.43°, rel. 100; (1 1 0), 2θ = 42.02°, rel. 51; (1 0 5), 2θ = 42.12°, rel. 64; (2 0 0), 2θ = 60.93°, rel. 17; (1 1 8), 2θ = 65.74°, rel. 19; (2 1 3), 2θ = 71.90°, rel. 24; (2 1 5), 2θ = 76.84°, rel. 22

***

Entry 2:
For AgHPtRhS, a GGA-PBE-relaxed structure gives the simulated powder diffraction line list in this record (λ = 1.5418 Å (Cu Kα)).

Structural model:
Unit cell a=3.2189 b=3.2189 c=8.1784 alpha=90.00 beta=90.00 gamma=120.00
Space group P3m1 (No. 156)
One atom of each set of equivalent atoms:
Ag: 0.0000 0.0000 0.0000
H: 0.6667 0.3333 0.7160
Pt: 0.3333 0.6667 0.7313
Rh: 0.6667 0.3333 0.4636
S: 0.0000 0.0000 0.3099

Most intense lines, 10° ≤ 2θ ≤ 90°, by angle:
(0 0 1), 2θ = 10.82°, rel. 55; (0 0 3), 2θ = 32.85°, rel. 16; (1 0 1), 2θ = 33.98°, rel. 100; (0 1 2), 2θ = 39.11°, rel. 72; (0 0 4), 2θ = 44.30°, rel. 14; (0 1 3), 2θ = 46.60°, rel. 35; (1 1 0), 2θ = 57.24°, rel. 27; (1 1 4), 2θ = 75.12°, rel. 18

***

Entry 3:
For Ta2AgHPt, a GGA-PBE-relaxed structure gives the simulated powder diffraction line list in this record (λ = 1.5418 Å (Cu Kα)).

Structural model:
Unit cell a=4.0911 b=4.0911 c=4.2107 alpha=90.00 beta=90.00 gamma=90.00
Space group P4/mmm (No. 123)
One atom of each set of equivalent atoms:
Ta: 0.0000 0.5000 0.0000
Ag: 0.0000 0.0000 0.5000
H: 0.0000 0.0000 0.0000
Pt: 0.5000 0.5000 0.5000

Most intense lines, 10° ≤ 2θ ≤ 90°, by angle:
(1 1 1), 2θ = 37.73°, rel. 100; (0 0 2), 2θ = 42.96°, rel. 18; (2 0 0), 2θ = 44.28°, rel. 32; (2 0 2), 2θ = 63.40°, rel. 22; (2 2 0), 2θ = 64.41°, rel. 11; (1 1 3), 2θ = 75.25°, rel. 13; (3 1 1), 2θ = 77.13°, rel. 25; (2 2 2), 2θ = 80.58°, rel. 11

***

Entry 4:
For AgTe2HPt, a GGA-PBE-relaxed structure gives the simulated powder diffraction line list in this record (λ = 1.5418 Å (Cu Kα)).

Structural model:
Unit cell a=5.3312 b=5.3312 c=5.1323 alpha=90.00 beta=90.00 gamma=90.00
Space group P4/mmm (No. 123)
One atom of each set of equivalent atoms:
Ag: 0.0000 0.0000 0.0000
Te: 0.0000 0.5000 0.0000
H: 0.5000 0.5000 0.5000
Pt: 0.0000 0.0000 0.5000

Most intense lines, 10° ≤ 2θ ≤ 90°, by angle:
(1 0 0), 2θ = 16.63°, rel. 100; (1 1 1), 2θ = 29.40°, rel. 60; (2 0 0), 2θ = 33.62°, rel. 60; (0 0 2), 2θ = 34.97°, rel. 27; (2 1 0), 2θ = 37.73°, rel. 26; (1 0 2), 2θ = 38.95°, rel. 24; (2 2 0), 2θ = 48.28°, rel. 22; (2 0 2), 2θ = 49.29°, rel. 41

***

Entry 5:
For Y2AgHPt, a GGA-PBE-relaxed structure gives the simulated powder diffraction line list in this record (λ = 1.5418 Å (Cu Kα)).

Structural model:
Unit cell a=5.0102 b=5.0102 c=3.7311 alpha=90.00 beta=90.00 gamma=90.00
Space group P4/mmm (No. 123)
One atom of each set of equivalent atoms:
Y: 0.0000 0.5000 0.0000
Ag: 0.0000 0.0000 0.5000
H: 0.5000 0.5000 0.0000
Pt: 0.5000 0.5000 0.5000

Most intense lines, 10° ≤ 2θ ≤ 90°, by angle:
(1 1 1), 2θ = 34.92°, rel. 100; (2 0 0), 2θ = 35.85°, rel. 47; (0 0 2), 2θ = 48.82°, rel. 10; (2 2 0), 2θ = 51.60°, rel. 16; (2 0 2), 2θ = 62.03°, rel. 19; (3 1 1), 2θ = 63.83°, rel. 34; (2 2 2), 2θ = 73.76°, rel. 11; (1 1 3), 2θ = 82.13°, rel. 8

***

Entry 6:
For PuAgH7Rh2, a GGA-PBE-relaxed structure gives the simulated powder diffraction line list in this record (λ = 1.5418 Å (Cu Kα)).

Structural model:
Unit cell a=3.6635 b=3.6635 c=16.2713 alpha=90.00 beta=90.00 gamma=90.00
Space group I-4m2 (No. 119)
One atom of each set of equivalent atoms:
Pu: 0.0000 0.0000 0.0000
Ag: 0.0000 0.5000 0.2500
H: 0.0000 0.0000 0.2866
H: 0.0000 0.0000 0.5000
H: 0.0000 0.5000 0.1076
H: 0.0000 0.5000 0.6081
Rh: 0.0000 0.0000 0.3910

Most intense lines, 10° ≤ 2θ ≤ 90°, by angle:
(0 0 2), 2θ = 10.87°, rel. 51; (1 0 3), 2θ = 29.42°, rel. 100; (1 1 0), 2θ = 34.63°, rel. 29; (1 1 2), 2θ = 36.40°, rel. 69; (1 0 5), 2θ = 36.95°, rel. 89; (2 0 0), 2θ = 49.78°, rel. 30; (2 1 3), 2θ = 58.88°, rel. 29; (2 1 5), 2θ = 63.58°, rel. 37

***

Entry 7:
For Ag2H8Rh3, a GGA-PBE-relaxed structure gives the simulated powder diffraction line list in this record (λ = 1.5418 Å (Cu Kα)).

Structural model:
Unit cell a=5.6205 b=5.6205 c=8.4863 alpha=90.00 beta=90.00 gamma=120.00
Space group P6_3mc (No. 186)
One atom of each set of equivalent atoms:
Ag: 0.3333 0.6667 0.0000
Ag: 0.3333 0.6667 0.3610
H: 0.0000 0.0000 0.2895
H: 0.0421 0.5211 0.7851
H: 0.1347 0.2694 0.0693
H: 0.3333 0.6667 0.5863
Rh: 0.1646 0.3291 0.6823

Most intense lines, 10° ≤ 2θ ≤ 90°, by angle:
(0 0 2), 2θ = 20.94°, rel. 14; (1 0 2), 2θ = 27.89°, rel. 22; (1 0 3), 2θ = 36.75°, rel. 47; (2 0 0), 2θ = 36.93°, rel. 22; (2 0 1), 2θ = 38.46°, rel. 100; (2 1 3), 2θ = 59.98°, rel. 23; (2 2 0), 2θ = 66.55°, rel. 15; (2 0 5), 2θ = 67.25°, rel. 19

***

Entry 8:
For Ag3H3Rh, a GGA-PBE-relaxed structure gives the simulated powder diffraction line list in this record (λ = 1.5418 Å (Cu Kα)).

Structural model:
Unit cell a=5.1014 b=5.1014 c=21.3605 alpha=90.00 beta=90.00 gamma=120.00
Space group R-3 (No. 148, hexagonal axes)
One atom of each set of equivalent atoms:
Ag: 0.0006 0.6691 0.2785
H: 0.0001 0.3323 0.1920
Rh: 0.0000 0.0000 0.1657

Most intense lines, 10° ≤ 2θ ≤ 90°, by angle:
(1 1 3), 2θ = 37.45°, rel. 100; (0 0 9), 2θ = 37.91°, rel. 32; (2 -1 6), 2θ = 43.65°, rel. 66; (3 0 0), 2θ = 63.13°, rel. 20; (1 1 12), 2θ = 63.76°, rel. 20; (4 -2 3), 2θ = 75.77°, rel. 12; (3 0 9), 2θ = 76.06°, rel. 23; (2 -1 15), 2θ = 76.64°, rel. 12

***

Entry 9:
For Ag2HRuS, a GGA-PBE-relaxed structure gives the simulated powder diffraction line list in this record (λ = 1.5418 Å (Cu Kα)).

Structural model:
Unit cell a=3.7110 b=3.7110 c=5.4939 alpha=90.00 beta=90.00 gamma=90.00
Space group P4/mmm (No. 123)
One atom of each set of equivalent atoms:
Ag: 0.0000 0.5000 0.0000
H: 0.0000 0.0000 0.0000
Ru: 0.5000 0.5000 0.5000
S: 0.0000 0.0000 0.5000

Most intense lines, 10° ≤ 2θ ≤ 90°, by angle:
(0 0 1), 2θ = 16.13°, rel. 12; (0 0 2), 2θ = 32.60°, rel. 39; (1 1 1), 2θ = 38.00°, rel. 100; (2 0 0), 2θ = 49.10°, rel. 24; (2 0 2), 2θ = 60.18°, rel. 25; (1 1 3), 2θ = 61.77°, rel. 23; (2 2 2), 2θ = 81.26°, rel. 10; (3 1 1), 2θ = 84.40°, rel. 19

***

Entry 10:
For Ag2HS, a GGA-PBE-relaxed structure gives the simulated powder diffraction line list in this record (λ = 1.5418 Å (Cu Kα)).

Structural model:
Unit cell a=5.2326 b=4.0075 c=13.5380 alpha=90.00 beta=110.69 gamma=90.00
Space group P2/c (No. 13)
One atom of each set of equivalent atoms:
Ag: 0.1333 0.2492 0.1638
Ag: 0.2896 0.2508 0.5429
H: 0.1292 0.2509 0.6406
S: 0.3805 0.2491 0.3683

Most intense lines, 10° ≤ 2θ ≤ 90°, by angle:
(0 1 1), 2θ = 23.28°, rel. 72; (1 0 2), 2θ = 26.66°, rel. 85; (1 1 -1), 2θ = 28.05°, rel. 94; (1 1 -3), 2θ = 31.75°, rel. 87; (2 0 -4), 2θ = 37.68°, rel. 44; (2 1 -3), 2θ = 42.08°, rel. 52; (0 1 5), 2θ = 42.21°, rel. 100; (0 2 0), 2θ = 45.25°, rel. 48

***

Entry 11:
For Ag3H2Se2, a GGA-PBE-relaxed structure gives the simulated powder diffraction line list in this record (λ = 1.5418 Å (Cu Kα)).

Structural model:
Unit cell a=3.1061 b=6.1260 c=6.9525 alpha=73.73 beta=89.77 gamma=89.73
Space group P-1 (No. 2)
One atom of each set of equivalent atoms:
Ag: 0.0000 0.0000 0.0000
Ag: 0.4983 0.3423 0.6968
H: 0.0030 0.6986 0.1460
Se: 0.4998 0.1714 0.3655

Most intense lines, 10° ≤ 2θ ≤ 90°, by angle:
(0 1 1), 2θ = 17.08°, rel. 83; (0 1 2), 2θ = 26.76°, rel. 53; (1 0 0), 2θ = 28.74°, rel. 54; (1 0 1), 2θ = 31.78°, rel. 100; (0 2 2), 2θ = 34.55°, rel. 94; (0 2 -1), 2θ = 36.69°, rel. 95; (1 0 -2), 2θ = 39.70°, rel. 30; (0 0 3), 2θ = 40.55°, rel. 54

***

Entry 12:
For SiAgH, a GGA-PBE-relaxed structure gives the simulated powder diffraction line list in this record (λ = 1.5418 Å (Cu Kα)).

Structural model:
Unit cell a=14.9844 b=4.7600 c=9.9702 alpha=90.00 beta=124.79 gamma=90.00
Space group Cc (No. 9)
One atom of each set of equivalent atoms:
Si: 0.0000 0.0262 0.0000
Si: 0.3085 0.4287 0.3004
Si: 0.3124 0.0546 0.1455
Ag: 0.0982 0.4584 0.1454
Ag: 0.2521 0.0710 0.8425
Ag: 0.2576 0.4337 0.5134
H: 0.0044 0.2177 0.6079
H: 0.0381 0.1228 0.4070
H: 0.4351 0.0370 0.2423

Most intense lines, 10° ≤ 2θ ≤ 90°, by angle:
(2 0 0), 2θ = 14.40°, rel. 100; (2 0 -2), 2θ = 17.91°, rel. 32; (4 0 -2), 2θ = 24.33°, rel. 41; (4 0 0), 2θ = 29.03°, rel. 25; (1 1 2), 2θ = 32.67°, rel. 54; (5 1 -2), 2θ = 35.41°, rel. 33; (0 2 0), 2θ = 37.80°, rel. 22; (3 1 -4), 2θ = 41.00°, rel. 37